1.
Structure and calculated XRD peak list of Ho2TmIn3Pt2 (the PBE geometry in OQMD; copper Kα).

Structure:
```
Ho2TmIn3Pt2
1.0
3.605 0.000 0.000
0.000 6.645 3.845
0.000 -6.645 3.845
Ho Tm In Pt
2 1 3 2
Cartesian
0.000 -3.847 3.845 Ho
0.000 3.847 3.845 Ho
0.000 0.000 4.861 Tm
1.802 -1.528 2.510 In
1.802 1.528 2.510 In
1.802 0.000 7.529 In
1.802 -2.199 5.460 Pt
1.802 2.199 5.460 Pt
```

Main lines, low angle first (2θ = 5–70°):
| 2theta | I_rel |
| --- | --- |
| 13.31 | 27 |
| 34.11 | 100 |
| 35.71 | 69 |
| 36.77 | 69 |
| 40.69 | 19 |
| 49.40 | 16 |
| 50.65 | 17 |
| 55.99 | 21 |
| 63.51 | 26 |
| 69.82 | 16 |

2.
Structure and calculated XRD peak list of Mo2P3W4N3 (the PBE geometry in OQMD; copper Kα).

Structure:
```
Mo2P3W4N3
1.0
4.575 -2.635 0.000
4.575 2.635 0.000
-3.396 0.000 12.290
Mo P W N
4 6 8 6
Cartesian
1.973 2.167 7.697 Mo
2.083 2.167 10.737 Mo
3.671 -2.167 1.552 Mo
3.781 -2.167 4.593 Mo
-0.906 0.507 9.173 P
0.792 -0.507 3.028 P
2.028 0.270 9.217 P
3.726 -0.270 3.072 P
4.962 0.507 9.261 P
6.660 -0.507 3.116 P
2.290 0.493 1.143 W
2.077 0.377 4.900 W
0.592 -0.493 7.287 W
0.379 -0.377 11.045 W
5.375 0.377 1.245 W
5.162 0.493 5.002 W
3.677 -0.377 7.390 W
3.464 -0.493 11.147 W
0.589 1.317 6.145 N
3.957 1.463 0.003 N
3.495 1.463 6.141 N
2.288 -1.317 0.000 N
2.259 -1.463 6.148 N
1.797 -1.463 12.286 N
```

Main lines, low angle first (2θ = 5–70°):
| 2theta | I_rel |
| --- | --- |
| 14.41 | 36 |
| 29.06 | 72 |
| 33.99 | 82 |
| 34.59 | 32 |
| 34.83 | 39 |
| 34.95 | 44 |
| 40.20 | 100 |
| 40.72 | 99 |
| 41.14 | 97 |
| 60.87 | 48 |

3.
Structure and calculated XRD peak list of MgAlFe2 (the PBE geometry in OQMD; copper Kα).

Structure:
```
MgAlFe2
1.0
5.935 0.000 0.000
0.000 5.935 0.000
0.000 0.000 5.935
Mg Al Fe
4 4 8
Cartesian
0.000 0.000 0.000 Mg
0.000 0.000 2.967 Mg
0.000 2.967 0.000 Mg
2.967 0.000 0.000 Mg
0.000 2.967 2.967 Al
2.967 0.000 2.967 Al
2.967 2.967 0.000 Al
2.967 2.967 2.967 Al
1.584 1.584 1.584 Fe
1.584 1.584 4.351 Fe
1.584 4.351 1.584 Fe
1.584 4.351 4.351 Fe
4.351 1.584 1.584 Fe
4.351 1.584 4.351 Fe
4.351 4.351 1.584 Fe
4.351 4.351 4.351 Fe
```

Main lines, low angle first (2θ = 5–70°):
| 2theta | I_rel |
| --- | --- |
| 14.93 | 5 |
| 30.12 | 20 |
| 33.77 | 2 |
| 43.11 | 100 |
| 45.87 | 3 |
| 53.49 | 4 |
| 55.86 | 4 |
| 62.61 | 14 |
| 64.77 | 3 |